The following is a computed XRD peak list of ZnSeO5. It was derived from a GGA-PBE-relaxed structure, using a wavelength of 1.5418 Å.
Lines closer than 0.1° are merged.

Top 6 peaks for 2θ = 10–90°, sorted by position:
| 2theta | Rel. int. | h k l |
| --- | --- | --- |
| 18.1 | 100 | 1 1 -1 |
| 25.0 | 61 | 0 2 1 |
| 25.8 | 56 | 1 1 1 |
| 26.1 | 99 | 1 1 -2 |
| 29.1 | 57 | 2 0 0 |
| 34.1 | 63 | 0 2 2 |

Lattice parameters (Å, degrees): 6.837 8.356 7.548 90.00 116.14 90.00
Space group C2/c (No. 15)
Inequivalent atoms, fractional coordinates:
Zn 0.000 0.000 0.000 [4 per cell]
Se 0.000 0.335 0.250 [4 per cell]
O 0.000 0.096 0.750 [4 per cell]
O 0.132 0.222 0.152 [8 per cell]
O 0.182 0.450 0.429 [8 per cell]



The following is a computed XRD peak list of BaO2. It was derived from a GGA-PBE-relaxed structure, using a wavelength of 1.5418 Å.
Lines closer than 0.1° are merged.

Top 6 peaks for 2θ = 10–90°, sorted by position:
| 2theta | Rel. int. | h k l |
| --- | --- | --- |
| 22.4 | 68 | 0 2 0 |
| 25.6 | 49 | 1 1 0 |
| 33.3 | 34 | 0 2 1 |
| 35.6 | 100 | 1 1 1 |
| 48.6 | 25 | 1 3 1 |
| 52.6 | 28 | 0 4 1 |

Lattice parameters (Å, degrees): 3.875 7.921 3.664 90.00 90.00 90.00
Space group Cmmm (No. 65)
Inequivalent atoms, fractional coordinates:
Ba 0.000 0.000 0.000 [2 per cell]
O 0.000 0.404 0.500 [4 per cell]



The following is a computed XRD peak list of Cs4BiSbCl12. It was derived from a GGA-PBE-relaxed structure, using a wavelength of 1.5418 Å.
Lines closer than 0.1° are merged.

Top 6 peaks for 2θ = 10–90°, sorted by position:
| 2theta | Rel. int. | h k l |
| --- | --- | --- |
| 14.1 | 94 | 1 0 1 |
| 22.9 | 57 | 2 0 0 |
| 23.2 | 100 | 1 1 2 |
| 28.4 | 47 | 2 0 2 |
| 32.6 | 75 | 2 2 0 |
| 40.4 | 46 | 3 1 2 |

Lattice parameters (Å, degrees): 7.766 7.766 10.724 90.00 90.00 90.00
Space group P4/mmm (No. 123)
Inequivalent atoms, fractional coordinates:
Cs 0.000 0.500 0.221 [4 per cell]
Bi 0.000 0.000 0.000 [1 per cell]
Sb 0.500 0.500 0.500 [1 per cell]
Cl 0.000 0.000 0.254 [2 per cell]
Cl 0.248 0.248 0.000 [4 per cell]
Cl 0.280 0.280 0.500 [4 per cell]
Cl 0.500 0.500 0.274 [2 per cell]



The following is a computed XRD peak list of Nd2Ti3Bi2O12. It was derived from a GGA-PBE-relaxed structure, using a wavelength of 1.5418 Å.
Lines closer than 0.1° are merged.

Top 6 peaks for 2θ = 10–90°, sorted by position:
| 2theta | Rel. int. | h k l |
| --- | --- | --- |
| 29.8 | 100 | 1 7 1 |
| 32.8 | 17 | 2 0 0 |
| 33.0 | 19 | 0 0 2 |
| 47.2 | 28 | 2 0 2 |
| 56.7 | 15 | 3 7 1 |
| 57.0 | 16 | 1 7 3 |

Lattice parameters (Å, degrees): 5.466 33.362 5.426 90.00 90.00 90.00
Space group Aea2 (No. 41)
Inequivalent atoms, fractional coordinates:
Nd 0.003 0.065 0.000 [8 per cell]
Ti 0.000 0.000 0.490 [4 per cell]
Ti 0.001 0.372 0.995 [8 per cell]
Bi 0.027 0.211 0.991 [8 per cell]
O 0.064 0.180 0.498 [8 per cell]
O 0.080 0.443 0.979 [8 per cell]
O 0.243 0.378 0.733 [8 per cell]
O 0.244 0.108 0.746 [8 per cell]
O 0.247 0.013 0.227 [8 per cell]
O 0.248 0.251 0.743 [8 per cell]